# PuTiHgPb
Calculated X-ray powder pattern, Cu Kα X-rays. Input: DFT lattice parameters and positions (PBE).
Lines closer than 0.1° are merged.

Cell and atoms:
Cell lengths 7.2936, 7.2936, 7.2936 Å; angles 90.00, 90.00, 90.00 degrees
Space group F-43m (No. 216)
Asymmetric unit:
Pu: 0.0000 0.0000 0.0000
Ti: 0.0000 0.0000 0.5000
Hg: 0.2500 0.2500 0.7500
Pb: 0.2500 0.2500 0.2500

Most intense lines, 5 to 70 degrees two-theta, sorted by position:
| 2theta | intensity | h k l |
| --- | --- | --- |
| 21.10 | 16 | 1 1 1 |
| 34.79 | 100 | 2 2 0 |
| 41.04 | 10 | 3 1 1 |
| 50.02 | 18 | 4 0 0 |
| 54.87 | 4 | 3 3 1 |
| 62.37 | 38 | 4 2 2 |